The following is a calculated powder XRD pattern of ZrNpZn. It was derived from a DFT-relaxed cell (GGA-PBE, Alexandria), using Cu Kα X-rays.
Intensities are scaled so that the largest is 100.

Peak list (12 most intense, 5° ≤ 2θ ≤ 70°, in order of rising 2θ)
2theta, I/Imax, (hkl)
16.03, 39, 0 0 2
18.88, 19, 0 2 0
32.17, 54, 1 1 3
32.38, 18, 0 0 4
35.25, 100, 1 3 1
37.75, 45, 0 2 4
37.87, 16, 2 0 0
41.36, 32, 2 0 2
45.83, 31, 2 2 2
58.41, 19, 1 5 3
66.70, 16, 3 3 1
69.50, 18, 1 3 7

Structural model:
```
data_ZrNpZn
_chemical_formula_sum 'Zr8 Np8 Zn8'
_space_group_name_H-M_alt 'F m m m'
_space_group_IT_number 69
_space_group_name_Hall '-F 2 2'
_cell_length_a 4.7520
_cell_length_b 9.4028
_cell_length_c 11.0596
_cell_angle_alpha 90.00
_cell_angle_beta 90.00
_cell_angle_gamma 90.00
loop_
_atom_site_label
_atom_site_type_symbol
_atom_site_fract_x
_atom_site_fract_y
_atom_site_fract_z
_atom_site_occupancy
Zr1 Zr 0.0000 0.0000 0.1411 1
Np1 Np 0.0000 0.1768 0.5000 1
Zn1 Zn 0.2500 0.2500 0.2500 1
```

The following is a calculated powder XRD pattern of O. It was derived from a DFT-relaxed cell (GGA-PBE, Alexandria), using Cu Kα X-rays.
Intensities are scaled so that the largest is 100.

Peak list (12 most intense, 5° ≤ 2θ ≤ 70°, in order of rising 2θ)
2theta, I/Imax, (hkl)
17.92, 62, 1 1 0
21.97, 100, 0 0 1
22.33, 11, 2 0 0
23.58, 12, 2 0 -1
24.36, 23, 1 1 -1
34.40, 31, 3 1 -1
36.29, 74, 2 2 0
36.72, 21, 3 1 0
37.11, 47, 2 2 -1
50.45, 20, 4 2 -1
54.05, 9, 3 3 -1
58.40, 11, 0 4 0

Structural model:
```
data_O
_chemical_formula_sum 'O16'
_space_group_name_H-M_alt 'C 1 2/m 1'
_space_group_IT_number 12
_space_group_name_Hall '-C 2y'
_cell_length_a 8.8424
_cell_length_b 6.3209
_cell_length_c 4.4918
_cell_angle_alpha 90.00
_cell_angle_beta 115.75
_cell_angle_gamma 90.00
loop_
_atom_site_label
_atom_site_type_symbol
_atom_site_fract_x
_atom_site_fract_y
_atom_site_fract_z
_atom_site_occupancy
O1 O 0.0293 0.2417 0.1519 1
O2 O 0.1460 0.0000 0.8711 1
O3 O 0.2045 0.0000 0.1749 1
```

The following is a calculated powder XRD pattern of O. It was derived from a DFT-relaxed cell (GGA-PBE, Alexandria), using Cu Kα X-rays.
Intensities are scaled so that the largest is 100.

Peak list (10 most intense, 5° ≤ 2θ ≤ 70°, in order of rising 2θ)
2theta, I/Imax, (hkl)
21.26, 70, 0 0 2
38.98, 100, 1 1 1
43.30, 2, 0 0 4
50.12, 2, 1 1 3
52.85, 10, 0 2 0
55.01, 8, 2 0 0
57.60, 5, 0 2 2
59.64, 4, 2 0 2
67.20, 3, 0 0 6
68.35, 6, 1 1 5

Structural model:
```
data_O
_chemical_formula_sum 'O8'
_space_group_name_H-M_alt 'F m m m'
_space_group_IT_number 69
_space_group_name_Hall '-F 2 2'
_cell_length_a 3.3388
_cell_length_b 3.4645
_cell_length_c 8.3581
_cell_angle_alpha 90.00
_cell_angle_beta 90.00
_cell_angle_gamma 90.00
loop_
_atom_site_label
_atom_site_type_symbol
_atom_site_fract_x
_atom_site_fract_y
_atom_site_fract_z
_atom_site_occupancy
O1 O 0.0000 0.0000 0.0735 1
```

The following is a calculated powder XRD pattern of O. It was derived from a DFT-relaxed cell (GGA-PBE, Alexandria), using Cu Kα X-rays.
Intensities are scaled so that the largest is 100.

Peak list (12 most intense, 5° ≤ 2θ ≤ 70°, in order of rising 2θ)
2theta, I/Imax, (hkl)
14.23, 21, 0 2 0
20.31, 12, 1 1 0
24.76, 7, 0 0 1
28.68, 100, 0 2 1
28.79, 12, 1 3 0
32.23, 12, 1 1 1
32.97, 11, 0 3 1
34.63, 14, 1 2 1
38.56, 10, 2 0 0
41.30, 14, 2 2 0
46.37, 9, 2 0 1
48.76, 10, 2 2 1

Structural model:
```
data_O
_chemical_formula_sum 'O12'
_space_group_name_H-M_alt 'P m m n'
_space_group_IT_number 59
_cell_length_a 4.6691
_cell_length_b 12.4448
_cell_length_c 3.5959
_cell_angle_alpha 90.00
_cell_angle_beta 90.00
_cell_angle_gamma 90.00
loop_
_space_group_symop_operation_xyz
'x,y,z'
'-x,-y,-z'
'-x+1/2,-y+1/2,z'
'x+1/2,y+1/2,-z'
'x+1/2,-y,-z'
'-x+1/2,y,z'
'-x,y+1/2,-z'
'x,-y+1/2,z'
loop_
_atom_site_label
_atom_site_type_symbol
_atom_site_fract_x
_atom_site_fract_y
_atom_site_fract_z
_atom_site_occupancy
O1 O 0.1179 0.2500 0.0854 1
O2 O 0.2500 0.0353 0.6354 1
O3 O 0.2500 0.5532 0.4823 1
```

The following is a calculated powder XRD pattern of O. It was derived from a DFT-relaxed cell (GGA-PBE, Alexandria), using Cu Kα X-rays.
Intensities are scaled so that the largest is 100.

Peak list (12 most intense, 5° ≤ 2θ ≤ 70°, in order of rising 2θ)
2theta, I/Imax, (hkl)
28.46, 100, 1 0 2
29.72, 33, 1 1 0
31.27, 11, 1 1 1
35.57, 4, 1 1 2
35.87, 8, 1 0 3
38.77, 8, 0 0 4
42.53, 3, 2 0 0
47.84, 5, 2 1 0
49.60, 6, 1 1 4
56.82, 7, 2 1 3
58.38, 3, 1 1 5
65.24, 3, 2 2 2

Structural model:
```
data_O
_chemical_formula_sum 'O8'
_space_group_name_H-M_alt 'P 41 21 2'
_space_group_IT_number 92
_space_group_name_Hall 'P 4abw 2nw'
_cell_length_a 4.2515
_cell_length_b 4.2515
_cell_length_c 9.2911
_cell_angle_alpha 90.00
_cell_angle_beta 90.00
_cell_angle_gamma 90.00
loop_
_atom_site_label
_atom_site_type_symbol
_atom_site_fract_x
_atom_site_fract_y
_atom_site_fract_z
_atom_site_occupancy
O1 O 0.0558 0.1262 0.2195 1
```

The following is a calculated powder XRD pattern of O. It was derived from a DFT-relaxed cell (GGA-PBE, Alexandria), using Cu Kα X-rays.
Intensities are scaled so that the largest is 100.

Peak list (12 most intense, 5° ≤ 2θ ≤ 70°, in order of rising 2θ)
2theta, I/Imax, (hkl)
20.87, 100, 0 0 1
41.82, 30, 0 1 0
42.09, 28, 1 1 0
42.30, 27, 1 0 1
42.49, 2, 0 0 2
43.48, 20, 1 0 0
43.85, 18, 1 1 1
44.38, 16, 0 1 -1
49.87, 3, 0 1 1
50.81, 2, 1 1 -1
65.84, 4, 0 0 3
68.03, 1, 1 0 3

Structural model:
```
data_O
_chemical_formula_sum 'O2'
_space_group_name_H-M_alt 'P -1'
_space_group_IT_number 2
_space_group_name_Hall '-P 1'
_cell_length_a 2.5162
_cell_length_b 2.5170
_cell_length_c 4.4576
_cell_angle_alpha 88.84
_cell_angle_beta 74.49
_cell_angle_gamma 60.02
loop_
_atom_site_label
_atom_site_type_symbol
_atom_site_fract_x
_atom_site_fract_y
_atom_site_fract_z
_atom_site_occupancy
O1 O 0.0878 0.4612 0.3556 1
```

The following is a calculated powder XRD pattern of OsO. It was derived from a DFT-relaxed cell (GGA-PBE, Alexandria), using Cu Kα X-rays.
Intensities are scaled so that the largest is 100.

Peak list (12 most intense, 5° ≤ 2θ ≤ 70°, in order of rising 2θ)
2theta, I/Imax, (hkl)
14.44, 93, 1 1 0
20.47, 49, 2 0 0
32.63, 86, 3 1 0
34.12, 100, 1 0 1
40.12, 20, 2 1 1
41.63, 43, 4 0 0
44.29, 67, 3 3 0
45.45, 97, 3 0 1
50.33, 20, 3 2 1
54.88, 31, 4 1 1
63.32, 57, 4 3 1
64.42, 18, 6 0 0

Structural model:
```
data_OsO
_chemical_formula_sum 'Os8 O8'
_space_group_name_H-M_alt 'I 4/m m m'
_space_group_IT_number 139
_space_group_name_Hall '-I 4 2'
_cell_length_a 8.6774
_cell_length_b 8.6774
_cell_length_c 2.7572
_cell_angle_alpha 90.00
_cell_angle_beta 90.00
_cell_angle_gamma 90.00
loop_
_atom_site_label
_atom_site_type_symbol
_atom_site_fract_x
_atom_site_fract_y
_atom_site_fract_z
_atom_site_occupancy
Os1 Os 0.1520 0.1520 0.0000 1
O1 O 0.0000 0.3114 0.0000 1
```

The following is a calculated powder XRD pattern of PaPOsO. It was derived from a DFT-relaxed cell (GGA-PBE, Alexandria), using Cu Kα X-rays.
Intensities are scaled so that the largest is 100.

Peak list (12 most intense, 5° ≤ 2θ ≤ 70°, in order of rising 2θ)
2theta, I/Imax, (hkl)
11.47, 25, 0 0 1
25.20, 82, 1 0 1
32.34, 73, 1 0 2
33.93, 93, 1 1 1
34.90, 41, 0 0 3
39.67, 100, 1 1 2
45.62, 62, 2 0 0
52.80, 44, 1 0 4
57.03, 30, 2 1 2
58.00, 29, 1 1 4
58.70, 39, 2 0 3
66.50, 20, 2 2 0

Structural model:
```
data_PaPOsO
_chemical_formula_sum 'Pa2 P2 Os2 O2'
_space_group_name_H-M_alt 'P 4/n m m'
_space_group_IT_number 129
_cell_length_a 3.9768
_cell_length_b 3.9768
_cell_length_c 7.7116
_cell_angle_alpha 90.00
_cell_angle_beta 90.00
_cell_angle_gamma 90.00
loop_
_space_group_symop_operation_xyz
'x,y,z'
'-x,-y,-z'
'-y+1/2,x,z'
'y+1/2,-x,-z'
'-x+1/2,-y+1/2,z'
'x+1/2,y+1/2,-z'
'y,-x+1/2,z'
'-y,x+1/2,-z'
'x+1/2,-y,-z'
'-x+1/2,y,z'
'-y,-x,-z'
'y,x,z'
'-x,y+1/2,-z'
'x,-y+1/2,z'
'y+1/2,x+1/2,-z'
'-y+1/2,-x+1/2,z'
loop_
_atom_site_label
_atom_site_type_symbol
_atom_site_fract_x
_atom_site_fract_y
_atom_site_fract_z
_atom_site_occupancy
Pa1 Pa 0.2500 0.2500 0.1695 1
P1 P 0.2500 0.2500 0.6645 1
Os1 Os 0.2500 0.7500 0.5000 1
O1 O 0.2500 0.7500 0.0000 1
```